Computed X-ray powder pattern
Compound: HfZn4
Radiation: copper Kα
Structure: a cell relaxed with PBE
Peak positions follow from Bragg's law for the DFT cell and can differ from measured ones.

Top 6 peaks for 2θ = 10–90°, by angle:
Position (°2θ)	intensity	index
29.02	51	2 2 0
35.73	100	2 2 2
38.71	68	3 2 1
41.50	27	4 0 0
44.14	94	4 1 1
66.18	43	6 1 1

Structure:
```
data_HfZn4
_chemical_formula_sum 'Hf8 Zn32'
_symmetry_space_group_name_H-M 'I -4 3 m'
_symmetry_Int_Tables_number 217
_symmetry_space_group_name_Hall 'I -4 2 3'
_cell_length_a 8.704
_cell_length_b 8.704
_cell_length_c 8.704
_cell_angle_alpha 90.00
_cell_angle_beta 90.00
_cell_angle_gamma 90.00
loop_
_atom_site_label
_atom_site_fract_x
_atom_site_fract_y
_atom_site_fract_z
Hf1 0.218 0.218 0.782
Zn1 0.000 0.000 0.346
Zn2 0.000 0.250 0.500
Zn3 0.104 0.104 0.104
```

***

Computed X-ray powder pattern
Compound: La2Ce3Te8
Radiation: copper Kα
Structure: a cell relaxed with PBE
Peak positions follow from Bragg's law for the DFT cell and can differ from measured ones.

Top 6 peaks for 2θ = 10–90°, by angle:
Position (°2θ)	intensity	index
19.94	21	0 2 1
32.79	100	2 4 1
32.97	50	0 0 2
47.32	18	4 0 2
58.42	17	0 8 2
58.76	35	2 4 3

Structure:
```
data_La2Ce3Te8
_chemical_formula_sum 'La4 Ce6 Te16'
_symmetry_space_group_name_H-M 'C m m m'
_symmetry_Int_Tables_number 65
_symmetry_space_group_name_Hall '-C 2 2'
_cell_length_a 10.860
_cell_length_b 15.533
_cell_length_c 5.438
_cell_angle_alpha 90.00
_cell_angle_beta 90.00
_cell_angle_gamma 90.00
loop_
_atom_site_label
_atom_site_fract_x
_atom_site_fract_y
_atom_site_fract_z
La1 0.000 0.235 0.000
Ce1 0.000 0.500 0.000
Ce2 0.230 0.000 0.500
Te1 0.000 0.126 0.500
Te2 0.000 0.385 0.500
Te3 0.238 0.378 0.000
```

***

Computed X-ray powder pattern
Compound: K2CdSbS4
Radiation: copper Kα
Structure: a cell relaxed with PBE
Peak positions follow from Bragg's law for the DFT cell and can differ from measured ones.

Top 6 peaks for 2θ = 10–90°, by angle:
Position (°2θ)	intensity	index
15.41	55	1 0 1
24.19	21	2 0 0
25.84	100	1 1 2
34.47	32	2 2 0
43.58	43	1 3 2
46.54	29	2 0 4

Structure:
```
data_K2CdSbS4
_chemical_formula_sum 'K4 Cd2 Sb2 S8'
_symmetry_space_group_name_H-M 'I -4'
_symmetry_Int_Tables_number 82
_symmetry_space_group_name_Hall 'I -4'
_cell_length_a 7.358
_cell_length_b 7.358
_cell_length_c 9.208
_cell_angle_alpha 90.00
_cell_angle_beta 90.00
_cell_angle_gamma 90.00
loop_
_atom_site_label
_atom_site_fract_x
_atom_site_fract_y
_atom_site_fract_z
K1 0.000 0.000 0.000
K2 0.000 0.500 0.250
Cd1 0.000 0.500 0.750
Sb1 0.000 0.000 0.500
S1 0.179 0.761 0.633
```

***

Computed X-ray powder pattern
Compound: SrH2
Radiation: copper Kα
Structure: a cell relaxed with PBE
Peak positions follow from Bragg's law for the DFT cell and can differ from measured ones.

Top 6 peaks for 2θ = 10–90°, by angle:
Position (°2θ)	intensity	index
25.08	26	1 0 0
29.74	100	1 0 1
31.77	19	0 0 2
44.18	24	1 1 0
54.16	18	2 0 1
55.39	41	1 1 2

Structure:
```
data_SrH2
_chemical_formula_sum 'Sr2 H4'
_symmetry_space_group_name_H-M 'P 63/m m c'
_symmetry_Int_Tables_number 194
_symmetry_space_group_name_Hall '-P 6c 2c'
_cell_length_a 4.1003
_cell_length_b 4.1003
_cell_length_c 5.6334
_cell_angle_alpha 90.00
_cell_angle_beta 90.00
_cell_angle_gamma 120.00
loop_
_atom_site_label
_atom_site_fract_x
_atom_site_fract_y
_atom_site_fract_z
Sr1 0.3333 0.6667 0.2500
H1 0.0000 0.0000 0.0000
H2 0.3333 0.6667 0.7500
```